This entry pairs a crystal structure of CeCuO3 with its computed PXRD pattern. Radiation: Cu Kα (weighted mean of Kα1 and Kα2). Structure: a structure optimized by DFT (GGA-PBE).
No peak broadening, texture or thermal motion is included.

Crystal structure
Unit cell a=3.8329 b=3.8329 c=3.8329 alpha=90.00 beta=90.00 gamma=90.00
Positions (direct):
Ce 0.0000 0.0000 0.0000
Cu 0.5000 0.5000 0.5000
O 0.0000 0.5000 0.5000
O 0.5000 0.0000 0.5000
O 0.5000 0.5000 0.0000

Peak list (11 most intense, 10° ≤ 2θ ≤ 90°, low angle first)
- 3.833 Å, 2θ 23.21, rel. 88
- 2.710 Å, 2θ 33.05, rel. 1000
- 2.213 Å, 2θ 40.78, rel. 141
- 1.916 Å, 2θ 47.44, rel. 314
- 1.714 Å, 2θ 53.45, rel. 46
- 1.565 Å, 2θ 59.03, rel. 379
- 1.355 Å, 2θ 69.35, rel. 183
- 1.278 Å, 2θ 74.23, rel. 26
- 1.212 Å, 2θ 78.99, rel. 161
- 1.156 Å, 2θ 83.68, rel. 46
- 1.106 Å, 2θ 88.33, rel. 63